Structure and theoretical X-ray powder pattern of Mn12Rh4N (a DFT-relaxed cell (GGA-PBE, Alexandria); Cu Kα (weighted mean of Kα1 and Kα2)).
Intensities are scaled so that the largest is 100.

Structure:
Cell: 4.2596 5.2337 9.1991 Å, 90.00 90.22 90.00°
Sites, in units of the cell vectors:
Mn: 0.2375 0.0000 0.1738
Mn: 0.2404 0.2584 0.9126
Mn: 0.2404 0.7416 0.9126
Mn: 0.2465 0.5000 0.6606
Mn: 0.2496 0.2522 0.4184
Mn: 0.2496 0.7478 0.4184
Mn: 0.7504 0.2522 0.5816
Mn: 0.7504 0.7478 0.5816
Mn: 0.7535 0.5000 0.3394
Mn: 0.7596 0.2584 0.0874
Mn: 0.7596 0.7416 0.0874
Mn: 0.7625 0.0000 0.8262
Rh: 0.2512 0.0000 0.6577
Rh: 0.2522 0.5000 0.1676
Rh: 0.7478 0.5000 0.8324
Rh: 0.7488 0.0000 0.3423
N: 0.5000 0.0000 0.0000

Peak list (10 most intense, 2θ = 10–90°, sorted by position)
d_spacing	intensity	hkl
3.115	9	1 0 2
2.300	14	0 0 4
2.275	21	0 2 2
2.130	38	2 0 0
2.027	25	1 0 -4
2.020	22	1 0 4
2.006	100	1 2 2
1.323	15	0 2 6
1.203	9	3 2 2
1.115	8	2 4 0